# 1
Diffraction record for Sc8SiTc2. The X-ray powder pattern is simulated, not measured: it uses a structure optimized by DFT (GGA-PBE) and copper Kα.

Cell and atoms:
Lattice parameters (Å, degrees): 8.425 8.425 6.605 109.96 109.96 31.29
Fractional positions:
Sc  0.000  0.000  0.000
Sc  0.167  0.167  0.503
Sc  0.213  0.213  0.087
Sc  0.398  0.398  0.584
Sc  0.528  0.528  0.341
Sc  0.600  0.600  0.834
Sc  0.797  0.797  0.722
Sc  0.854  0.854  0.238
Si  0.369  0.369  0.977
Tc  0.009  0.009  0.598
Tc  0.690  0.690  0.288

Most intense lines, 10° ≤ 2θ ≤ 90°, low angle first:
14.3 deg, 6.176 Å, intensity 22; 21.5 deg, 4.127 Å, intensity 31; 22.8 deg, 3.908 Å, intensity 27; 23.8 deg, 3.742 Å, intensity 22; 33.1 deg, 2.704 Å, intensity 23; 33.8 deg, 2.649 Å, intensity 37; 34.2 deg, 2.622 Å, intensity 57; 35.5 deg, 2.526 Å, intensity 60; 37.4 deg, 2.406 Å, intensity 100; 38.9 deg, 2.317 Å, intensity 73; 39.7 deg, 2.272 Å, intensity 73; 45.9 deg, 1.978 Å, intensity 35

# 2
Diffraction record for U2ReBi. The X-ray powder pattern is simulated, not measured: it uses a structure optimized by DFT (GGA-PBE) and copper Kα.

Cell and atoms:
Lattice parameters (Å, degrees): 3.162 3.162 30.961 90.00 90.00 120.00
Fractional positions:
U  0.000  0.000  0.238
U  0.000  0.000  0.762
U  0.333  0.667  0.428
U  0.333  0.667  0.905
U  0.667  0.333  0.095
U  0.667  0.333  0.572
Re  0.000  0.000  0.500
Re  0.333  0.667  0.167
Re  0.667  0.333  0.833
Bi  0.000  0.000  0.000
Bi  0.333  0.667  0.667
Bi  0.667  0.333  0.333

Most intense lines, 10° ≤ 2θ ≤ 90°, low angle first:
25.9 deg, 3.440 Å, intensity 8; 34.8 deg, 2.581 Å, intensity 100; 35.9 deg, 2.504 Å, intensity 4; 40.3 deg, 2.235 Å, intensity 47; 46.3 deg, 1.963 Å, intensity 5; 50.8 deg, 1.797 Å, intensity 7; 58.4 deg, 1.581 Å, intensity 29; 61.1 deg, 1.516 Å, intensity 5; 64.9 deg, 1.437 Å, intensity 4; 69.8 deg, 1.348 Å, intensity 30; 73.3 deg, 1.291 Å, intensity 9; 75.8 deg, 1.255 Å, intensity 4

# 3
Diffraction record for PrDy2ErTh. The X-ray powder pattern is simulated, not measured: it uses a structure optimized by DFT (GGA-PBE) and copper Kα.

Cell and atoms:
Lattice parameters (Å, degrees): 3.538 5.658 8.697 90.00 90.00 90.00
Fractional positions:
Pr  0.000  0.000  0.000
Dy  0.000  0.500  0.322
Dy  0.000  0.500  0.678
Er  0.500  0.000  0.500
Th  0.500  0.500  0.000

Most intense lines, 10° ≤ 2θ ≤ 90°, low angle first:
15.7 deg, 5.658 Å, intensity 12; 20.4 deg, 4.348 Å, intensity 13; 25.8 deg, 3.448 Å, intensity 11; 30.8 deg, 2.899 Å, intensity 11; 31.6 deg, 2.834 Å, intensity 100; 32.6 deg, 2.745 Å, intensity 14; 34.8 deg, 2.580 Å, intensity 19; 36.4 deg, 2.469 Å, intensity 17; 46.1 deg, 1.970 Å, intensity 11; 56.3 deg, 1.635 Å, intensity 14; 61.6 deg, 1.505 Å, intensity 14; 61.9 deg, 1.500 Å, intensity 9